Co3Pt: simulated PXRD pattern (λ = 1.5418 Å (Cu Kα)), based on a crystal structure in the Materials Project, relaxed with PBE.
Lines closer than 0.1° are merged.

Largest 12 diffraction maxima, sorted by position, 10° ≤ 2θ ≤ 90°:
Position (°2θ)	I (rel.)
10.64	82
21.36	23
32.29	14
39.76	15
40.27	14
42.26	100
43.52	29
43.71	15
49.57	61
71.83	20
73.62	17
87.88	22

Structural model:
```
Co3Pt
1.0
2.629 0.000 0.000
-1.314 2.276 0.000
0.000 0.000 24.955
Co Pt
9 3
Cartesian
0.000 0.000 0.000 Co
0.000 0.000 6.373 Co
0.000 0.000 18.582 Co
0.000 1.518 10.264 Co
0.000 1.518 16.637 Co
0.000 1.518 23.010 Co
1.314 0.759 1.945 Co
1.314 0.759 8.318 Co
1.314 0.759 14.691 Co
0.000 0.000 12.477 Pt
0.000 1.518 4.159 Pt
1.314 0.759 20.796 Pt
```

***

Co3Pt: simulated PXRD pattern (λ = 1.5418 Å (Cu Kα)), based on a crystal structure in the Materials Project, relaxed with PBE.
Lines closer than 0.1° are merged.

Largest 12 diffraction maxima, sorted by position, 10° ≤ 2θ ≤ 90°:
Position (°2θ)	I (rel.)
19.66	11
29.26	45
34.40	18
39.93	25
43.71	26
45.77	100
56.77	9
58.49	10
60.68	14
72.51	16
81.76	17
88.66	19

Structural model:
```
Co3Pt
1.0
5.214 0.000 0.000
-2.607 4.516 0.000
0.000 0.000 4.142
Co Pt
6 2
Cartesian
0.000 1.430 1.035 Co
-1.369 3.801 1.035 Co
1.238 0.715 3.106 Co
1.369 3.801 1.035 Co
3.976 0.715 3.106 Co
2.607 3.086 3.106 Co
0.000 3.011 3.106 Pt
2.607 1.505 1.035 Pt
```

***

Ta12Co3Pt3Se32: simulated PXRD pattern (λ = 1.5418 Å (Cu Kα)), based on a crystal structure in the Materials Project, relaxed with PBE.
Lines closer than 0.1° are merged.

Largest 12 diffraction maxima, sorted by position, 10° ≤ 2θ ≤ 90°:
Position (°2θ)	I (rel.)
12.39	100
12.91	98
29.76	17
31.57	25
33.74	22
34.67	19
34.81	18
36.57	18
38.24	35
43.33	19
44.49	16
53.24	18

Structural model:
```
Ta12Co3Pt3Se32
1.0
7.147 -1.720 0.000
7.147 1.720 0.000
-0.467 0.000 47.819
Ta Co Pt Se
12 3 3 32
Cartesian
0.000 0.000 0.000 Ta
-0.117 0.000 31.534 Ta
0.357 0.000 26.871 Ta
5.001 0.000 39.496 Ta
5.473 0.000 34.827 Ta
5.827 0.000 18.550 Ta
6.909 0.000 23.888 Ta
7.274 0.000 7.690 Ta
7.770 0.000 2.920 Ta
12.377 0.000 15.603 Ta
12.821 0.000 10.941 Ta
12.736 0.000 42.461 Ta
4.858 0.000 13.103 Co
7.873 0.000 29.354 Co
11.780 0.000 37.001 Co
1.010 0.000 5.404 Pt
6.122 0.000 45.118 Pt
13.518 0.000 21.229 Pt
-0.299 0.000 40.173 Se
0.234 0.000 34.215 Se
0.566 0.000 19.149 Se
1.279 0.000 22.625 Se
2.074 0.000 1.571 Se
2.054 0.000 7.748 Se
2.217 0.000 28.594 Se
3.145 0.000 37.761 Se
3.768 0.000 10.978 Se
3.756 0.000 16.915 Se
4.072 0.000 43.727 Se
4.799 0.000 47.206 Se
5.124 0.000 32.145 Se
5.654 0.000 26.187 Se
6.258 0.000 5.280 Se
6.334 0.000 37.209 Se
7.087 0.000 16.258 Se
7.590 0.000 10.355 Se
7.477 0.000 43.051 Se
8.171 0.000 46.512 Se
8.971 0.000 25.544 Se
8.937 0.000 31.489 Se
9.755 0.000 4.544 Se
10.523 0.000 13.875 Se
10.714 0.000 34.868 Se
10.683 0.000 40.812 Se
11.466 0.000 19.829 Se
12.167 0.000 23.303 Se
12.501 0.000 8.251 Se
13.051 0.000 2.294 Se
13.321 0.000 29.149 Se
13.712 0.000 13.313 Se
```

***

Pu2Co: simulated PXRD pattern (λ = 1.5418 Å (Cu Kα)), based on a crystal structure in the Materials Project, relaxed with PBE.
Lines closer than 0.1° are merged.

Largest 12 diffraction maxima, sorted by position, 10° ≤ 2θ ≤ 90°:
Position (°2θ)	I (rel.)
24.63	16
26.27	17
33.27	100
36.32	72
38.03	60
43.37	13
44.91	23
52.73	12
57.81	26
60.27	33
69.47	24
77.15	15

Structural model:
```
Pu2Co
1.0
7.228 0.000 0.000
-3.614 6.260 0.000
0.000 0.000 4.037
Pu Co
6 3
Cartesian
-0.922 1.597 0.000 Pu
-2.086 3.612 2.018 Pu
1.844 0.000 0.000 Pu
1.528 2.647 2.018 Pu
4.171 0.000 2.018 Pu
2.692 4.662 0.000 Pu
0.000 0.000 2.018 Co
0.000 4.173 0.000 Co
3.614 2.087 0.000 Co
```

***

Pu6Co: simulated PXRD pattern (λ = 1.5418 Å (Cu Kα)), based on a crystal structure in the Materials Project, relaxed with PBE.
Lines closer than 0.1° are merged.

Largest 12 diffraction maxima, sorted by position, 10° ≤ 2θ ≤ 90°:
Position (°2θ)	I (rel.)
34.58	25
35.20	100
39.24	9
43.72	14
51.97	7
56.90	9
62.18	9
62.36	20
63.93	9
67.01	6
73.14	14
79.79	17

Structural model:
```
Pu6Co
1.0
-5.278 5.278 2.594
5.278 -5.278 2.594
5.278 5.278 -2.594
Pu Co
12 2
Cartesian
6.305 1.026 0.000 Pu
2.261 1.031 0.000 Pu
4.248 -3.017 2.594 Pu
4.248 3.017 0.000 Pu
2.261 -1.031 2.594 Pu
1.026 4.252 0.000 Pu
4.252 1.026 2.594 Pu
3.017 6.309 0.000 Pu
1.031 2.261 2.594 Pu
1.031 8.296 0.000 Pu
3.017 4.248 2.594 Pu
-1.026 4.252 2.594 Pu
0.000 0.000 1.297 Co
0.000 0.000 3.891 Co
```

***

PuCo3: simulated PXRD pattern (λ = 1.5418 Å (Cu Kα)), based on a crystal structure in the Materials Project, relaxed with PBE.
Lines closer than 0.1° are merged.

Largest 12 diffraction maxima, sorted by position, 10° ≤ 2θ ≤ 90°:
Position (°2θ)	I (rel.)
21.90	36
33.75	47
36.74	22
37.85	44
44.16	100
44.68	14
46.59	10
65.74	14
67.64	17
70.98	9
72.74	17
80.87	13

Structural model:
```
PuCo3
1.0
2.377 1.372 8.110
-2.377 1.372 8.110
0.000 -2.745 8.110
Pu Co
3 9
Cartesian
0.000 0.000 0.000 Pu
0.000 0.000 3.562 Pu
0.000 0.000 20.768 Pu
-1.181 -0.682 10.122 Co
0.000 0.000 8.107 Co
0.000 -1.363 14.208 Co
-1.181 0.682 14.208 Co
0.000 0.000 12.165 Co
1.181 -0.682 10.122 Co
0.000 1.363 10.122 Co
0.000 0.000 16.223 Co
1.181 0.682 14.208 Co
```

***

Pu4Co: simulated PXRD pattern (λ = 1.5418 Å (Cu Kα)), based on a crystal structure in the Materials Project, relaxed with PBE.
Lines closer than 0.1° are merged.

Largest 12 diffraction maxima, sorted by position, 10° ≤ 2θ ≤ 90°:
Position (°2θ)	I (rel.)
30.74	100
35.64	42
38.96	13
46.85	18
51.29	36
61.00	33
64.02	8
66.24	9
71.99	9
77.55	8
83.67	10
86.37	8

Structural model:
```
Pu4Co
1.0
0.000 5.038 5.038
5.038 0.000 5.038
5.038 5.038 0.000
Pu Co
8 2
Cartesian
7.708 4.887 4.887 Pu
2.368 2.368 2.368 Pu
5.189 5.189 2.368 Pu
5.189 2.368 5.189 Pu
4.887 7.708 4.887 Pu
4.887 4.887 7.708 Pu
7.708 7.708 7.708 Pu
2.368 5.189 5.189 Pu
3.778 3.778 3.778 Co
6.297 6.297 6.297 Co
```

***

PuCo2Si2: simulated PXRD pattern (λ = 1.5418 Å (Cu Kα)), based on a crystal structure in the Materials Project, relaxed with PBE.
Lines closer than 0.1° are merged.

Largest 12 diffraction maxima, sorted by position, 10° ≤ 2θ ≤ 90°:
Position (°2θ)	I (rel.)
24.71	84
35.83	68
36.42	19
37.59	100
46.96	36
52.01	23
53.78	22
60.44	31
60.84	17
66.30	19
72.66	17
80.94	21

Structural model:
```
PuCo2Si2
1.0
3.870 0.000 0.000
0.000 3.870 0.000
0.000 0.000 9.869
Pu Co Si
2 4 4
Cartesian
0.000 0.000 0.000 Pu
1.935 1.935 4.934 Pu
0.000 1.935 2.467 Co
0.000 1.935 7.402 Co
1.935 0.000 2.467 Co
1.935 0.000 7.402 Co
0.000 0.000 3.676 Si
0.000 0.000 6.193 Si
1.935 1.935 1.259 Si
1.935 1.935 8.610 Si
```

***

RbCo2S2: simulated PXRD pattern (λ = 1.5418 Å (Cu Kα)), based on a crystal structure in the Materials Project, relaxed with PBE.
Lines closer than 0.1° are merged.

Largest 12 diffraction maxima, sorted by position, 10° ≤ 2θ ≤ 90°:
Position (°2θ)	I (rel.)
13.33	42
24.60	19
26.84	45
31.20	100
36.40	93
48.41	45
53.88	63
56.22	22
58.73	29
70.89	14
76.53	11
82.39	16

Structural model:
```
RbCo2S2
1.0
3.760 0.000 0.000
0.000 3.760 0.000
0.000 0.000 13.289
Rb Co S
2 4 4
Cartesian
0.000 0.000 0.000 Rb
1.880 1.880 6.644 Rb
0.000 1.880 3.322 Co
0.000 1.880 9.966 Co
1.880 0.000 3.322 Co
1.880 0.000 9.966 Co
0.000 0.000 4.512 S
0.000 0.000 8.777 S
1.880 1.880 2.132 S
1.880 1.880 11.156 S
```

***

Co3Rh: simulated PXRD pattern (λ = 1.5418 Å (Cu Kα)), based on a crystal structure in the Materials Project, relaxed with PBE.
Lines closer than 0.1° are merged.

Largest 12 diffraction maxima, sorted by position, 10° ≤ 2θ ≤ 90°:
Position (°2θ)	I (rel.)
10.81	11
21.73	4
32.84	3
39.99	27
41.55	5
44.29	24
45.96	100
61.18	14
72.63	16
82.71	15
86.29	3
89.18	18

Structural model:
```
Co3Rh
1.0
2.603 0.000 0.000
-1.302 2.255 0.000
0.000 0.000 8.181
Co Rh
3 1
Cartesian
0.000 0.000 0.000 Co
1.302 0.752 1.956 Co
1.302 0.752 6.225 Co
0.000 0.000 4.090 Rh
```

***

CoRh3: simulated PXRD pattern (λ = 1.5418 Å (Cu Kα)), based on a crystal structure in the Materials Project, relaxed with PBE.
Lines closer than 0.1° are merged.

Largest 10 diffraction maxima, sorted by position, 10° ≤ 2θ ≤ 90°:
Position (°2θ)	I (rel.)
23.62	4
33.65	4
41.53	100
48.33	48
54.48	2
60.18	1
70.75	29
75.77	1
80.67	1
85.51	35

Structural model:
```
CoRh3
1.0
3.766 0.000 0.000
0.000 3.766 0.000
0.000 0.000 3.766
Co Rh
1 3
Cartesian
0.000 0.000 0.000 Co
0.000 1.883 1.883 Rh
1.883 0.000 1.883 Rh
1.883 1.883 0.000 Rh
```

***

CoRh: simulated PXRD pattern (λ = 1.5418 Å (Cu Kα)), based on a crystal structure in the Materials Project, relaxed with PBE.
Lines closer than 0.1° are merged.

Largest 12 diffraction maxima, sorted by position, 10° ≤ 2θ ≤ 90°:
Position (°2θ)	I (rel.)
20.86	14
39.80	8
41.72	100
42.46	32
48.78	63
53.60	3
70.93	19
71.98	19
74.87	3
85.81	12
86.31	23
87.30	11

Structural model:
```
CoRh
1.0
2.657 0.000 0.000
-1.329 2.301 0.000
0.000 0.000 12.773
Co Rh
3 3
Cartesian
0.000 0.000 0.000 Co
0.000 1.534 8.516 Co
1.329 0.767 4.258 Co
0.000 0.000 6.387 Rh
0.000 1.534 2.129 Rh
1.329 0.767 10.645 Rh
```

***

Co8RhS8: simulated PXRD pattern (λ = 1.5418 Å (Cu Kα)), based on a crystal structure in the Materials Project, relaxed with PBE.
Lines closer than 0.1° are merged.

Largest 12 diffraction maxima, sorted by position, 10° ≤ 2θ ≤ 90°:
Position (°2θ)	I (rel.)
15.50	7
17.92	11
25.44	11
29.93	100
31.29	10
40.75	7
47.73	36
52.26	90
61.40	12
73.46	20
77.05	13
84.79	11

Structural model:
```
Co8RhS8
1.0
0.000 4.951 4.951
4.951 0.000 4.951
4.951 4.951 0.000
Co Rh S
8 1 8
Cartesian
1.250 1.250 1.250 Co
3.700 3.700 1.250 Co
3.700 1.250 3.700 Co
8.651 6.201 6.201 Co
1.250 3.700 3.700 Co
6.201 8.651 6.201 Co
6.201 6.201 8.651 Co
8.651 8.651 8.651 Co
4.951 4.951 4.951 Rh
2.475 2.475 2.475 S
4.951 4.951 2.533 S
4.951 2.533 4.951 S
7.369 4.951 4.951 S
2.533 4.951 4.951 S
4.951 7.369 4.951 S
4.951 4.951 7.369 S
7.426 7.426 7.426 S
```

***

CoSbRh2: simulated PXRD pattern (λ = 1.5418 Å (Cu Kα)), based on a crystal structure in the Materials Project, relaxed with PBE.
Lines closer than 0.1° are merged.

Largest 12 diffraction maxima, sorted by position, 10° ≤ 2θ ≤ 90°:
Position (°2θ)	I (rel.)
25.22	7
40.06	100
43.25	2
45.01	36
49.66	13
52.29	2
64.19	1
65.54	11
69.25	19
79.67	25
85.26	1
86.52	21

Structural model:
```
CoSbRh2
1.0
4.028 0.000 0.000
0.000 4.028 0.000
0.000 0.000 7.343
Co Sb Rh
2 2 4
Cartesian
0.000 0.000 0.000 Co
2.014 2.014 3.672 Co
0.000 0.000 3.672 Sb
2.014 2.014 0.000 Sb
0.000 2.014 1.836 Rh
0.000 2.014 5.508 Rh
2.014 0.000 1.836 Rh
2.014 0.000 5.508 Rh
```